Structure and theoretical PXRD pattern of Th6OF24 (the PBE geometry in Alexandria; Cu Ka).
Lines closer than 0.1° are merged.

The 6 most intense peaks (5° ≤ 2θ ≤ 70°), low angle first:
2θ (°)  I_rel
20.22  70
22.47  100
24.29  32
30.05  29
43.40  37
44.31  25

Atomic structure:
```
Th6OF24
1.0
-4.7018 4.7018 5.8475
4.7018 -4.7018 5.8475
4.7018 4.7018 -5.8475
Th O F
6 1 24
Direct
0.1735 0.6162 0.7897
0.2212 0.2212 0.0000
0.3838 0.1735 0.5574
0.6162 0.8265 0.4426
0.7788 0.7788 0.0000
0.8265 0.3838 0.2103
0.0000 0.0000 0.0000
0.0340 0.3245 0.1162
0.0821 0.9660 0.2905
0.1093 0.6093 0.5000
0.1443 0.4052 0.8763
0.2084 0.9179 0.8838
0.2354 0.3718 0.6073
0.2680 0.1443 0.7391
0.3245 0.2084 0.2905
0.3718 0.7646 0.1364
0.3907 0.8907 0.5000
0.4052 0.5289 0.2609
0.4711 0.7320 0.8763
0.5289 0.2680 0.1237
0.5948 0.4711 0.7391
0.6093 0.1093 0.5000
0.6282 0.2354 0.8636
0.6755 0.7916 0.7095
0.7320 0.8557 0.2609
0.7646 0.6282 0.3927
0.7916 0.0821 0.1162
0.8557 0.5948 0.1237
0.8907 0.3907 0.5000
0.9179 0.0340 0.7095
0.9660 0.6755 0.8838
```